(1)
# TaCl6
Computed powder X-ray diffraction pattern, Cu Kα. Input: DFT lattice parameters and positions (GGA-PBE).
Intensities are scaled so that the largest is 100.

Principal peaks in the range 15 to 90 degrees two-theta, sorted by position:
2θ (°), intensity
15.0, 52.3
15.3, 100.0
18.3, 38.3
20.2, 38.1
27.9, 17.2
30.2, 16.8

Crystal structure
```
TaCl6
1.0
10.614 0.000 0.000
0.000 11.791 0.000
0.000 0.000 8.496
Ta Cl
4 24
direct
0.133 0.250 0.051
0.367 0.750 0.551
0.633 0.250 0.449
0.867 0.750 0.949
0.014 0.750 0.145
0.015 0.112 0.203
0.015 0.388 0.203
0.242 0.606 0.454
0.242 0.894 0.454
0.243 0.750 0.799
0.257 0.250 0.299
0.258 0.106 0.954
0.258 0.394 0.954
0.485 0.612 0.703
0.485 0.888 0.703
0.486 0.250 0.645
0.514 0.750 0.355
0.515 0.112 0.297
0.515 0.388 0.297
0.742 0.606 0.046
0.742 0.894 0.046
0.743 0.750 0.701
0.757 0.250 0.201
0.758 0.106 0.546
0.758 0.394 0.546
0.985 0.612 0.797
0.985 0.888 0.797
0.986 0.250 0.855
```



(2)
# SrBr2O7
Computed powder X-ray diffraction pattern, Cu Kα. Input: DFT lattice parameters and positions (GGA-PBE).
Intensities are scaled so that the largest is 100.

Principal peaks in the range 15 to 90 degrees two-theta, sorted by position:
2θ (°), intensity
15.2, 72.0
27.0, 60.0
29.1, 85.5
29.5, 58.5
30.3, 93.2
30.8, 100.0

Crystal structure
```
SrBr2O7
1.0
6.107 -4.010 0.000
6.107 4.010 0.000
-5.306 0.000 6.600
Sr Br O
2 4 14
direct
0.159 0.841 0.750
0.841 0.159 0.250
0.289 0.325 0.300
0.325 0.289 0.800
0.675 0.711 0.200
0.711 0.675 0.700
0.094 0.180 0.632
0.169 0.831 0.250
0.180 0.094 0.132
0.208 0.408 0.485
0.240 0.560 0.898
0.408 0.208 0.985
0.440 0.760 0.602
0.560 0.240 0.398
0.592 0.792 0.015
0.760 0.440 0.102
0.792 0.592 0.515
0.820 0.906 0.868
0.831 0.169 0.750
0.906 0.820 0.368
```



(3)
# Re4Ir3
Computed powder X-ray diffraction pattern, Cu Kα. Input: DFT lattice parameters and positions (GGA-PBE).
Intensities are scaled so that the largest is 100.

Principal peaks in the range 15 to 90 degrees two-theta, sorted by position:
2θ (°), intensity
38.5, 66.3
42.6, 100.0
55.6, 23.2
72.5, 42.3
80.8, 15.9
82.6, 7.6

Crystal structure
```
Re4Ir3
1.0
-1.653 1.653 9.678
1.653 -1.653 9.678
1.653 1.653 -9.678
Re Ir
4 3
direct
0.070 0.070 0.000
0.356 0.356 0.000
0.644 0.644 0.000
0.930 0.930 0.000
0.215 0.215 0.000
0.500 0.500 0.000
0.785 0.785 0.000
```



(4)
# Nb6Co16Si7
Computed powder X-ray diffraction pattern, Cu Kα. Input: DFT lattice parameters and positions (GGA-PBE).
Intensities are scaled so that the largest is 100.

Principal peaks in the range 15 to 90 degrees two-theta, sorted by position:
2θ (°), intensity
27.6, 21.6
39.4, 24.9
41.9, 100.0
45.9, 91.3
71.5, 20.0
86.5, 18.6

Crystal structure
```
Nb6Co16Si7
1.0
0.000 5.596 5.596
5.596 0.000 5.596
5.596 5.596 0.000
Nb Co Si
6 16 7
direct
0.203 0.203 0.797
0.203 0.797 0.203
0.203 0.797 0.797
0.797 0.203 0.203
0.797 0.203 0.797
0.797 0.797 0.203
0.144 0.619 0.619
0.166 0.166 0.166
0.166 0.166 0.501
0.166 0.501 0.166
0.381 0.381 0.381
0.381 0.381 0.856
0.381 0.856 0.381
0.499 0.834 0.834
0.501 0.166 0.166
0.619 0.144 0.619
0.619 0.619 0.144
0.619 0.619 0.619
0.834 0.499 0.834
0.834 0.834 0.499
0.834 0.834 0.834
0.856 0.381 0.381
0.000 0.000 0.500
0.000 0.500 0.000
0.000 0.500 0.500
0.500 0.000 0.000
0.500 0.000 0.500
0.500 0.500 0.000
0.500 0.500 0.500
```



(5)
# AcLaPmDy2
Computed powder X-ray diffraction pattern, Cu Kα. Input: DFT lattice parameters and positions (GGA-PBE).
Intensities are scaled so that the largest is 100.

Principal peaks in the range 15 to 90 degrees two-theta, sorted by position:
2θ (°), intensity
24.4, 47.4
28.8, 100.0
29.2, 96.1
31.8, 82.4
38.8, 89.5
50.0, 51.2

Crystal structure
```
AcLaPmDy2
1.0
3.316 -8.828 0.000
3.316 8.828 0.000
0.000 0.000 6.508
Ac La Pm Dy
2 2 2 4
direct
0.156 0.844 0.750
0.844 0.156 0.250
0.346 0.654 0.750
0.654 0.346 0.250
0.283 0.717 0.250
0.717 0.283 0.750
0.257 0.257 0.000
0.257 0.257 0.500
0.743 0.743 0.000
0.743 0.743 0.500
```